No. 1
Computed powder diffraction line list
Compound: CsZrUTe5
Radiation: copper Kα
Structure: a cell relaxed with PBE
Neutral-atom scattering factors, no anomalous dispersion.

Cell and atoms:
```
data_CsZrUTe5
_cell_length_a 6.415
_cell_length_b 8.600
_cell_length_c 10.473
_cell_angle_alpha 90.00
_cell_angle_beta 90.00
_cell_angle_gamma 90.00
_symmetry_space_group_name_H-M 'P 1'
_symmetry_Int_Tables_number 1
_symmetry_space_group_name_Hall 'P 1'
loop_
_atom_site_label
_atom_site_type_symbol
_atom_site_fract_x
_atom_site_fract_y
_atom_site_fract_z
_atom_site_occupancy
Cs1 Cs 0.250 0.000 0.214 1
Cs2 Cs 0.750 0.000 0.786 1
Zr1 Zr 0.000 0.500 0.000 1
Zr2 Zr 0.500 0.500 0.000 1
U1 U 0.250 0.500 0.660 1
U2 U 0.750 0.500 0.340 1
Te1 Te 0.000 0.259 0.500 1
Te2 Te 0.000 0.741 0.500 1
Te3 Te 0.250 0.255 0.878 1
Te4 Te 0.250 0.500 0.234 1
Te5 Te 0.250 0.745 0.878 1
Te6 Te 0.500 0.259 0.500 1
Te7 Te 0.500 0.741 0.500 1
Te8 Te 0.750 0.255 0.122 1
Te9 Te 0.750 0.500 0.766 1
Te10 Te 0.750 0.745 0.122 1
```

Main lines, sorted by position (5 to 70 degrees two-theta):
2theta  d (Å)  I_rel
10.29  8.600  100
19.23  4.616  35
26.83  3.323  50
29.12  3.066  41
30.29  2.951  85
32.74  2.735  54
33.05  2.710  44
35.97  2.497  68
42.03  2.150  34
54.27  1.690  27

No. 2
Computed powder diffraction line list
Compound: CsZn8
Radiation: copper Kα
Structure: a cell relaxed with PBE
Neutral-atom scattering factors, no anomalous dispersion.

Cell and atoms:
```
data_CsZn8
_cell_length_a 9.422
_cell_length_b 9.422
_cell_length_c 9.422
_cell_angle_alpha 162.05
_cell_angle_beta 135.66
_cell_angle_gamma 48.20
_symmetry_space_group_name_H-M 'P 1'
_symmetry_Int_Tables_number 1
_symmetry_space_group_name_Hall 'P 1'
loop_
_atom_site_label
_atom_site_type_symbol
_atom_site_fract_x
_atom_site_fract_y
_atom_site_fract_z
_atom_site_occupancy
Cs1 Cs 0.000 0.000 0.000 1
Zn1 Zn 0.129 0.331 0.799 1
Zn2 Zn 0.212 0.712 0.500 1
Zn3 Zn 0.432 0.932 0.500 1
Zn4 Zn 0.469 0.169 0.300 1
Zn5 Zn 0.532 0.331 0.201 1
Zn6 Zn 0.566 0.566 0.000 1
Zn7 Zn 0.786 0.786 0.000 1
Zn8 Zn 0.869 0.169 0.700 1
```

Main lines, sorted by position (5 to 70 degrees two-theta):
2theta  d (Å)  I_rel
27.14  3.286  39
28.83  3.097  56
31.20  2.867  21
32.68  2.740  46
39.23  2.297  79
40.15  2.246  100
40.37  2.234  69
46.53  1.952  39
49.38  1.846  34
50.60  1.804  21

No. 3
Computed powder diffraction line list
Compound: DyCu5
Radiation: copper Kα
Structure: a cell relaxed with PBE
Neutral-atom scattering factors, no anomalous dispersion.

Cell and atoms:
```
data_DyCu5
_cell_length_a 4.964
_cell_length_b 4.964
_cell_length_c 4.964
_cell_angle_alpha 60.00
_cell_angle_beta 60.00
_cell_angle_gamma 60.00
_symmetry_space_group_name_H-M 'P 1'
_symmetry_Int_Tables_number 1
_symmetry_space_group_name_Hall 'P 1'
loop_
_atom_site_label
_atom_site_type_symbol
_atom_site_fract_x
_atom_site_fract_y
_atom_site_fract_z
_atom_site_occupancy
Dy1 Dy 0.000 0.000 0.000 1
Cu1 Cu 0.376 0.376 0.376 1
Cu2 Cu 0.376 0.376 0.871 1
Cu3 Cu 0.376 0.871 0.376 1
Cu4 Cu 0.750 0.750 0.750 1
Cu5 Cu 0.871 0.376 0.376 1
```

Main lines, sorted by position (5 to 70 degrees two-theta):
2theta  d (Å)  I_rel
21.93  4.053  8
25.37  3.510  9
36.19  2.482  45
42.72  2.117  100
44.72  2.027  26
57.20  1.611  3
58.83  1.570  3
65.09  1.433  16
69.59  1.351  30

No. 4
Computed powder diffraction line list
Compound: DyCu5
Radiation: copper Kα
Structure: a cell relaxed with PBE
Neutral-atom scattering factors, no anomalous dispersion.

Cell and atoms:
```
data_DyCu5
_cell_length_a 4.997
_cell_length_b 4.997
_cell_length_c 4.131
_cell_angle_alpha 90.00
_cell_angle_beta 90.00
_cell_angle_gamma 120.00
_symmetry_space_group_name_H-M 'P 1'
_symmetry_Int_Tables_number 1
_symmetry_space_group_name_Hall 'P 1'
loop_
_atom_site_label
_atom_site_type_symbol
_atom_site_fract_x
_atom_site_fract_y
_atom_site_fract_z
_atom_site_occupancy
Dy1 Dy 0.000 0.000 0.000 1
Cu1 Cu 0.000 0.500 0.500 1
Cu2 Cu 0.333 0.667 0.000 1
Cu3 Cu 0.500 0.000 0.500 1
Cu4 Cu 0.500 0.500 0.500 1
Cu5 Cu 0.667 0.333 0.000 1
```

Main lines, sorted by position (5 to 70 degrees two-theta):
2theta  d (Å)  I_rel
29.90  2.988  49
35.95  2.498  31
41.75  2.164  34
42.28  2.138  100
43.83  2.066  28
47.43  1.917  7
57.93  1.592  15
60.92  1.521  13
62.13  1.494  20
68.96  1.362  22

No. 5
Computed powder diffraction line list
Compound: DyErCu2
Radiation: copper Kα
Structure: a cell relaxed with PBE
Neutral-atom scattering factors, no anomalous dispersion.

Cell and atoms:
```
data_DyErCu2
_cell_length_a 4.839
_cell_length_b 4.839
_cell_length_c 4.839
_cell_angle_alpha 60.00
_cell_angle_beta 60.00
_cell_angle_gamma 60.00
_symmetry_space_group_name_H-M 'P 1'
_symmetry_Int_Tables_number 1
_symmetry_space_group_name_Hall 'P 1'
loop_
_atom_site_label
_atom_site_type_symbol
_atom_site_fract_x
_atom_site_fract_y
_atom_site_fract_z
_atom_site_occupancy
Dy1 Dy 0.000 0.000 0.000 1
Er1 Er 0.500 0.500 0.500 1
Cu1 Cu 0.250 0.250 0.250 1
Cu2 Cu 0.750 0.750 0.750 1
```

Main lines, sorted by position (5 to 70 degrees two-theta):
2theta  d (Å)  I_rel
26.04  3.422  20
37.16  2.420  100
45.94  1.976  6
53.56  1.711  17
60.50  1.530  8
66.99  1.397  35

No. 6
Computed powder diffraction line list
Compound: Dy2GaCu3
Radiation: copper Kα
Structure: a cell relaxed with PBE
Neutral-atom scattering factors, no anomalous dispersion.

Cell and atoms:
```
data_Dy2GaCu3
_cell_length_a 5.402
_cell_length_b 5.402
_cell_length_c 6.907
_cell_angle_alpha 127.77
_cell_angle_beta 127.77
_cell_angle_gamma 47.10
_symmetry_space_group_name_H-M 'P 1'
_symmetry_Int_Tables_number 1
_symmetry_space_group_name_Hall 'P 1'
loop_
_atom_site_label
_atom_site_type_symbol
_atom_site_fract_x
_atom_site_fract_y
_atom_site_fract_z
_atom_site_occupancy
Dy1 Dy 0.000 0.000 0.000 1
Dy2 Dy 0.083 0.083 0.588 1
Ga1 Ga 0.710 0.710 0.407 1
Cu1 Cu 0.376 0.376 0.578 1
Cu2 Cu 0.377 0.377 0.180 1
Cu3 Cu 0.705 0.705 0.009 1
```

Main lines, sorted by position (5 to 70 degrees two-theta):
2theta  d (Å)  I_rel
23.89  3.724  40
34.17  2.624  34
34.91  2.570  71
35.10  2.557  100
35.82  2.507  92
36.36  2.471  39
41.86  2.158  61
42.34  2.135  84
55.61  1.653  26
56.63  1.625  22

No. 7
Computed powder diffraction line list
Compound: DyGaCu
Radiation: copper Kα
Structure: a cell relaxed with PBE
Neutral-atom scattering factors, no anomalous dispersion.

Cell and atoms:
```
data_DyGaCu
_cell_length_a 5.462
_cell_length_b 5.462
_cell_length_c 7.034
_cell_angle_alpha 127.53
_cell_angle_beta 127.53
_cell_angle_gamma 47.22
_symmetry_space_group_name_H-M 'P 1'
_symmetry_Int_Tables_number 1
_symmetry_space_group_name_Hall 'P 1'
loop_
_atom_site_label
_atom_site_type_symbol
_atom_site_fract_x
_atom_site_fract_y
_atom_site_fract_z
_atom_site_occupancy
Dy1 Dy 0.038 0.038 0.295 1
Dy2 Dy 0.962 0.962 0.705 1
Ga1 Ga 0.333 0.333 0.885 1
Ga2 Ga 0.667 0.667 0.115 1
Cu1 Cu 0.334 0.334 0.286 1
Cu2 Cu 0.666 0.666 0.714 1
```

Main lines, sorted by position (5 to 70 degrees two-theta):
2theta  d (Å)  I_rel
23.56  3.776  32
33.55  2.671  25
34.13  2.627  32
34.44  2.604  100
35.34  2.540  72
35.96  2.498  34
41.27  2.188  48
41.70  2.166  71
54.59  1.681  16
55.87  1.646  19

No. 8
Computed powder diffraction line list
Compound: Dy2Ga3Cu
Radiation: copper Kα
Structure: a cell relaxed with PBE
Neutral-atom scattering factors, no anomalous dispersion.

Cell and atoms:
```
data_Dy2Ga3Cu
_cell_length_a 4.370
_cell_length_b 4.370
_cell_length_c 7.193
_cell_angle_alpha 90.00
_cell_angle_beta 90.00
_cell_angle_gamma 120.00
_symmetry_space_group_name_H-M 'P 1'
_symmetry_Int_Tables_number 1
_symmetry_space_group_name_Hall 'P 1'
loop_
_atom_site_label
_atom_site_type_symbol
_atom_site_fract_x
_atom_site_fract_y
_atom_site_fract_z
_atom_site_occupancy
Dy1 Dy 0.000 0.000 0.000 1
Dy2 Dy 0.000 0.000 0.470 1
Ga1 Ga 0.333 0.667 0.215 1
Ga2 Ga 0.333 0.667 0.785 1
Ga3 Ga 0.667 0.333 0.690 1
Cu1 Cu 0.667 0.333 0.276 1
```

Main lines, sorted by position (5 to 70 degrees two-theta):
2theta  d (Å)  I_rel
23.50  3.785  20
26.61  3.350  5
34.40  2.607  100
41.32  2.185  57
44.74  2.025  9
50.77  1.798  6
54.82  1.675  26
56.67  1.624  6
67.45  1.389  15
69.96  1.345  4

No. 9
Computed powder diffraction line list
Compound: DyGa3Cu
Radiation: copper Kα
Structure: a cell relaxed with PBE
Neutral-atom scattering factors, no anomalous dispersion.

Cell and atoms:
```
data_DyGa3Cu
_cell_length_a 6.111
_cell_length_b 6.111
_cell_length_c 6.111
_cell_angle_alpha 141.02
_cell_angle_beta 141.02
_cell_angle_gamma 56.31
_symmetry_space_group_name_H-M 'P 1'
_symmetry_Int_Tables_number 1
_symmetry_space_group_name_Hall 'P 1'
loop_
_atom_site_label
_atom_site_type_symbol
_atom_site_fract_x
_atom_site_fract_y
_atom_site_fract_z
_atom_site_occupancy
Dy1 Dy 0.000 0.000 0.000 1
Ga1 Ga 0.387 0.387 0.000 1
Ga2 Ga 0.613 0.613 0.000 1
Ga3 Ga 0.750 0.250 0.500 1
Cu1 Cu 0.250 0.750 0.500 1
```

Main lines, sorted by position (5 to 70 degrees two-theta):
2theta  d (Å)  I_rel
31.01  2.884  18
33.24  2.695  71
35.30  2.542  100
44.43  2.039  50
46.11  1.969  7
47.73  1.905  36
56.60  1.626  34
60.75  1.524  11
64.66  1.442  18
67.25  1.392  25

No. 10
Computed powder diffraction line list
Compound: DyCu2Ge2
Radiation: copper Kα
Structure: a cell relaxed with PBE
Neutral-atom scattering factors, no anomalous dispersion.

Cell and atoms:
```
data_DyCu2Ge2
_cell_length_a 5.908
_cell_length_b 5.908
_cell_length_c 5.908
_cell_angle_alpha 139.91
_cell_angle_beta 139.91
_cell_angle_gamma 57.98
_symmetry_space_group_name_H-M 'P 1'
_symmetry_Int_Tables_number 1
_symmetry_space_group_name_Hall 'P 1'
loop_
_atom_site_label
_atom_site_type_symbol
_atom_site_fract_x
_atom_site_fract_y
_atom_site_fract_z
_atom_site_occupancy
Dy1 Dy 0.000 0.000 0.000 1
Cu1 Cu 0.250 0.750 0.500 1
Cu2 Cu 0.750 0.250 0.500 1
Ge1 Ge 0.381 0.381 0.000 1
Ge2 Ge 0.619 0.619 0.000 1
```

Main lines, sorted by position (5 to 70 degrees two-theta):
2theta  d (Å)  I_rel
31.24  2.863  22
34.17  2.624  76
35.86  2.504  100
44.76  2.025  56
47.39  1.918  7
49.51  1.841  34
57.50  1.603  34
62.98  1.476  14
65.16  1.432  18
68.94  1.362  25

No. 11
Computed powder diffraction line list
Compound: Dy2CuGe6
Radiation: copper Kα
Structure: a cell relaxed with PBE
Neutral-atom scattering factors, no anomalous dispersion.

Cell and atoms:
```
data_Dy2CuGe6
_cell_length_a 4.079
_cell_length_b 10.885
_cell_length_c 10.885
_cell_angle_alpha 21.46
_cell_angle_beta 90.00
_cell_angle_gamma 90.00
_symmetry_space_group_name_H-M 'P 1'
_symmetry_Int_Tables_number 1
_symmetry_space_group_name_Hall 'P 1'
loop_
_atom_site_label
_atom_site_type_symbol
_atom_site_fract_x
_atom_site_fract_y
_atom_site_fract_z
_atom_site_occupancy
Dy1 Dy 0.000 0.000 0.000 1
Dy2 Dy 0.000 0.335 0.335 1
Cu1 Cu 0.500 0.780 0.780 1
Ge1 Ge 0.000 0.603 0.603 1
Ge2 Ge 0.000 0.719 0.719 1
Ge3 Ge 0.500 0.102 0.102 1
Ge4 Ge 0.500 0.220 0.220 1
Ge5 Ge 0.500 0.461 0.461 1
Ge6 Ge 0.500 0.889 0.889 1
```

Main lines, sorted by position (5 to 70 degrees two-theta):
2theta  d (Å)  I_rel
25.28  3.523  10
33.38  2.684  19
33.60  2.667  100
37.70  2.386  18
43.21  2.094  13
44.18  2.050  16
44.42  2.039  21
44.72  2.026  20
56.97  1.616  14
64.86  1.437  13

Which formula does entry 7 have? DyGaCu

Repeat the eighth record exactly.
Computed powder diffraction line list
Compound: Dy2Ga3Cu
Radiation: copper Kα
Structure: a cell relaxed with PBE
Neutral-atom scattering factors, no anomalous dispersion.

Cell and atoms:
```
data_Dy2Ga3Cu
_cell_length_a 4.370
_cell_length_b 4.370
_cell_length_c 7.193
_cell_angle_alpha 90.00
_cell_angle_beta 90.00
_cell_angle_gamma 120.00
_symmetry_space_group_name_H-M 'P 1'
_symmetry_Int_Tables_number 1
_symmetry_space_group_name_Hall 'P 1'
loop_
_atom_site_label
_atom_site_type_symbol
_atom_site_fract_x
_atom_site_fract_y
_atom_site_fract_z
_atom_site_occupancy
Dy1 Dy 0.000 0.000 0.000 1
Dy2 Dy 0.000 0.000 0.470 1
Ga1 Ga 0.333 0.667 0.215 1
Ga2 Ga 0.333 0.667 0.785 1
Ga3 Ga 0.667 0.333 0.690 1
Cu1 Cu 0.667 0.333 0.276 1
```

Main lines, sorted by position (5 to 70 degrees two-theta):
2theta  d (Å)  I_rel
23.50  3.785  20
26.61  3.350  5
34.40  2.607  100
41.32  2.185  57
44.74  2.025  9
50.77  1.798  6
54.82  1.675  26
56.67  1.624  6
67.45  1.389  15
69.96  1.345  4

Copy entry 1 word for word.
Computed powder diffraction line list
Compound: CsZrUTe5
Radiation: copper Kα
Structure: a cell relaxed with PBE
Neutral-atom scattering factors, no anomalous dispersion.

Cell and atoms:
```
data_CsZrUTe5
_cell_length_a 6.415
_cell_length_b 8.600
_cell_length_c 10.473
_cell_angle_alpha 90.00
_cell_angle_beta 90.00
_cell_angle_gamma 90.00
_symmetry_space_group_name_H-M 'P 1'
_symmetry_Int_Tables_number 1
_symmetry_space_group_name_Hall 'P 1'
loop_
_atom_site_label
_atom_site_type_symbol
_atom_site_fract_x
_atom_site_fract_y
_atom_site_fract_z
_atom_site_occupancy
Cs1 Cs 0.250 0.000 0.214 1
Cs2 Cs 0.750 0.000 0.786 1
Zr1 Zr 0.000 0.500 0.000 1
Zr2 Zr 0.500 0.500 0.000 1
U1 U 0.250 0.500 0.660 1
U2 U 0.750 0.500 0.340 1
Te1 Te 0.000 0.259 0.500 1
Te2 Te 0.000 0.741 0.500 1
Te3 Te 0.250 0.255 0.878 1
Te4 Te 0.250 0.500 0.234 1
Te5 Te 0.250 0.745 0.878 1
Te6 Te 0.500 0.259 0.500 1
Te7 Te 0.500 0.741 0.500 1
Te8 Te 0.750 0.255 0.122 1
Te9 Te 0.750 0.500 0.766 1
Te10 Te 0.750 0.745 0.122 1
```

Main lines, sorted by position (5 to 70 degrees two-theta):
2theta  d (Å)  I_rel
10.29  8.600  100
19.23  4.616  35
26.83  3.323  50
29.12  3.066  41
30.29  2.951  85
32.74  2.735  54
33.05  2.710  44
35.97  2.497  68
42.03  2.150  34
54.27  1.690  27